Simulated powder XRD pattern of Zr3GeMo8 for Cu Kα (weighted mean of Kα1 and Kα2), from a GGA-PBE-relaxed structure.
Lines closer than 0.1° are merged.

Main lines, by angle (10° ≤ 2θ ≤ 90°):
two_theta  I/Imax  index
33.5  16.2  1 1 0
39.5  100.0  2 0 2
39.7  32.9  1 0 10
41.3  43.5  0 2 4
70.3  18.3  2 2 0
70.6  17.8  0 2 16

Structural model:
Cell: 5.3570 5.3570 26.0747 Å, 90.00 90.00 120.00°
Space group R3m (No. 160, hexagonal axes)
Asymmetric unit:
Zr: 0.0000 0.0000 0.0000 [3 per cell]
Zr: 0.0000 0.0000 0.1265 [3 per cell]
Zr: 0.0000 0.0000 0.5031 [3 per cell]
Ge: 0.0000 0.0000 0.6266 [3 per cell]
Mo: 0.0000 0.0000 0.3143 [3 per cell]
Mo: 0.0000 0.0000 0.8133 [3 per cell]
Mo: 0.0012 0.5006 0.5649 [9 per cell]
Mo: 0.1675 0.3349 0.3959 [9 per cell]

Simulated powder XRD pattern of GdFe4B for Cu Kα (weighted mean of Kα1 and Kα2), from a GGA-PBE-relaxed structure.
Lines closer than 0.1° are merged.

Main lines, by angle (10° ≤ 2θ ≤ 90°):
two_theta  I/Imax  index
32.5  90.9  1 1 2
34.6  33.9  2 0 0
40.1  75.1  2 2 0
43.5  100.0  2 0 2
60.6  20.2  3 1 2
68.1  33.8  3 3 2

Structural model:
Cell: 5.194 8.973 6.972 Å, 90.00 90.00 90.00°
Space group Cmmm (No. 65)
Asymmetric unit:
Gd: 0.000 0.000 0.000 [2 per cell]
Gd: 0.000 0.000 0.500 [2 per cell]
Fe: 0.000 0.333 0.000 [4 per cell]
Fe: 0.000 0.500 0.288 [4 per cell]
Fe: 0.250 0.250 0.288 [8 per cell]
B: 0.000 0.333 0.500 [4 per cell]

Simulated powder XRD pattern of Mn2FeSe3 for Cu Kα (weighted mean of Kα1 and Kα2), from a GGA-PBE-relaxed structure.
Lines closer than 0.1° are merged.

Main lines, by angle (10° ≤ 2θ ≤ 90°):
two_theta  I/Imax  index
36.1  100.0  0 1 2
51.9  34.0  1 1 0
52.2  33.1  1 0 4
64.8  16.8  2 0 2
87.6  14.6  1 2 2
88.0  14.2  1 1 6

Structural model:
Cell: 3.5257 3.5257 8.5645 Å, 90.00 90.00 120.00°
Space group P-3m1 (No. 164)
Asymmetric unit:
Mn: 0.3333 0.6667 0.1668 [2 per cell]
Fe: 0.0000 0.0000 0.5000 [1 per cell]
Se: 0.0000 0.0000 0.0000 [1 per cell]
Se: 0.3333 0.6667 0.6606 [2 per cell]

Simulated powder XRD pattern of NaLiCdS2 for Cu Kα (weighted mean of Kα1 and Kα2), from a GGA-PBE-relaxed structure.
Lines closer than 0.1° are merged.

Main lines, by angle (10° ≤ 2θ ≤ 90°):
two_theta  I/Imax  index
12.6  78.0  0 0 1
24.7  78.6  1 0 0
27.8  100.0  0 1 1
35.7  65.0  0 1 2
43.5  52.7  1 1 0
46.2  52.1  1 0 3

Structural model:
Cell: 4.1573 4.1573 7.0420 Å, 90.00 90.00 120.00°
Space group P3m1 (No. 156)
Asymmetric unit:
Na: 0.0000 0.0000 0.0000 [1 per cell]
Li: 0.3333 0.6667 0.6860 [1 per cell]
Cd: 0.6667 0.3333 0.4092 [1 per cell]
S: 0.3333 0.6667 0.2721 [1 per cell]
S: 0.6667 0.3333 0.7677 [1 per cell]

- Which formula does entry 1 have?
  Zr3GeMo8

Copy entry 4 word for word.
Simulated powder XRD pattern of NaLiCdS2 for Cu Kα (weighted mean of Kα1 and Kα2), from a GGA-PBE-relaxed structure.
Lines closer than 0.1° are merged.

Main lines, by angle (10° ≤ 2θ ≤ 90°):
two_theta  I/Imax  index
12.6  78.0  0 0 1
24.7  78.6  1 0 0
27.8  100.0  0 1 1
35.7  65.0  0 1 2
43.5  52.7  1 1 0
46.2  52.1  1 0 3

Structural model:
Cell: 4.1573 4.1573 7.0420 Å, 90.00 90.00 120.00°
Space group P3m1 (No. 156)
Asymmetric unit:
Na: 0.0000 0.0000 0.0000 [1 per cell]
Li: 0.3333 0.6667 0.6860 [1 per cell]
Cd: 0.6667 0.3333 0.4092 [1 per cell]
S: 0.3333 0.6667 0.2721 [1 per cell]
S: 0.6667 0.3333 0.7677 [1 per cell]

Copy entry 1 word for word.
Simulated powder XRD pattern of Zr3GeMo8 for Cu Kα (weighted mean of Kα1 and Kα2), from a GGA-PBE-relaxed structure.
Lines closer than 0.1° are merged.

Main lines, by angle (10° ≤ 2θ ≤ 90°):
two_theta  I/Imax  index
33.5  16.2  1 1 0
39.5  100.0  2 0 2
39.7  32.9  1 0 10
41.3  43.5  0 2 4
70.3  18.3  2 2 0
70.6  17.8  0 2 16

Structural model:
Cell: 5.3570 5.3570 26.0747 Å, 90.00 90.00 120.00°
Space group R3m (No. 160, hexagonal axes)
Asymmetric unit:
Zr: 0.0000 0.0000 0.0000 [3 per cell]
Zr: 0.0000 0.0000 0.1265 [3 per cell]
Zr: 0.0000 0.0000 0.5031 [3 per cell]
Ge: 0.0000 0.0000 0.6266 [3 per cell]
Mo: 0.0000 0.0000 0.3143 [3 per cell]
Mo: 0.0000 0.0000 0.8133 [3 per cell]
Mo: 0.0012 0.5006 0.5649 [9 per cell]
Mo: 0.1675 0.3349 0.3959 [9 per cell]